Simulated powder XRD pattern of Fe8Co3 for Cu Kα, from a cell relaxed with PBE.
Peak positions follow from Bragg's law for the DFT cell and can differ from measured ones.

Crystal structure
Cell lengths 7.4912, 7.4912, 9.0490 Å; angles 90.00, 90.00, 120.00 degrees
Space group R-3 (No. 148, hexagonal axes)
Inequivalent atoms, fractional coordinates:
Fe (0.0000, 0.0000, 0.1340)
Fe (0.9996, 0.2063, 0.3923)
Co (0.0000, 0.5000, 0.5000)

The 10 most intense peaks (10 to 90 degrees two-theta), in order of rising 2θ:
d = 2.636 Å, I = 17
d = 2.367 Å, I = 100
d = 2.349 Å, I = 26
d = 2.156 Å, I = 59
d = 2.136 Å, I = 45
d = 1.596 Å, I = 11
d = 1.591 Å, I = 46
d = 1.580 Å, I = 14
d = 1.415 Å, I = 14
d = 1.175 Å, I = 12